Record 1
Y6OsI10: theoretical X-ray powder pattern (Cu Kα (λ = 1.5418 Å)), based on a cell relaxed with GGA-PBE.

Principal peaks in the range 2θ = 10–90°, in order of rising 2θ:
2θ = 24.67°, rel. 50, hkl -2 1 1
2θ = 24.85°, rel. 17, hkl 1 -2 2
2θ = 27.95°, rel. 51, hkl 2 0 1
2θ = 28.94°, rel. 100, hkl 1 -3 0
2θ = 40.50°, rel. 17, hkl 3 1 -2
2θ = 40.61°, rel. 18, hkl 1 3 1
2θ = 40.78°, rel. 35, hkl 1 -1 4
2θ = 41.28°, rel. 17, hkl -2 2 3
2θ = 41.50°, rel. 18, hkl 0 4 -3
2θ = 50.56°, rel. 16, hkl 2 4 -2

Crystal structure
Cell lengths 7.7474, 9.7337, 9.7795 Å; angles 107.10, 96.64, 104.35 degrees
Space group P-1 (No. 2)
Symmetry-distinct sites (fractional):
Y 0.0334 0.2187 0.4174 [2 per cell]
Y 0.1150 0.5425 0.2597 [2 per cell]
Y 0.3481 0.6238 0.6658 [2 per cell]
Os 0.0000 0.5000 0.5000 [1 per cell]
I 0.0878 0.8716 0.3206 [2 per cell]
I 0.2224 0.2441 0.1550 [2 per cell]
I 0.2563 0.5857 0.9595 [2 per cell]
I 0.3450 0.9483 0.7725 [2 per cell]
I 0.4554 0.3151 0.5922 [2 per cell]

***

Record 2
SmZn2SiIr: theoretical X-ray powder pattern (Cu Kα (λ = 1.5418 Å)), based on a cell relaxed with GGA-PBE.

Principal peaks in the range 2θ = 10–90°, in order of rising 2θ:
2θ = 24.21°, rel. 20, hkl 1 0 1
2θ = 32.71°, rel. 26, hkl 0 1 3
2θ = 33.09°, rel. 16, hkl 0 0 4
2θ = 33.81°, rel. 11, hkl 1 0 3
2θ = 35.49°, rel. 100, hkl 1 1 2
2θ = 43.06°, rel. 21, hkl 0 2 0
2θ = 46.48°, rel. 17, hkl 2 0 0
2θ = 60.66°, rel. 15, hkl 1 1 6
2θ = 65.21°, rel. 12, hkl 2 2 0
2θ = 74.01°, rel. 12, hkl 1 3 2

Crystal structure
Cell lengths 3.9076, 4.2010, 10.8293 Å; angles 90.00, 90.00, 90.00 degrees
Space group Imm2 (No. 44)
Symmetry-distinct sites (fractional):
Sm 0.0000 0.0000 0.0000 [2 per cell]
Zn 0.0000 0.0000 0.6155 [2 per cell]
Zn 0.0000 0.5000 0.2593 [2 per cell]
Si 0.0000 0.0000 0.3879 [2 per cell]
Ir 0.0000 0.5000 0.7621 [2 per cell]